For YHo5Tm2Sc, a crystal structure in Alexandria, relaxed with PBE gives the calculated powder X-ray diffraction pattern in this record (copper Kα).

Top 10 peaks for 2θ = 5–70°, most intense first:
2θ/deg, d/Å, I/Imax, hkl
32.9, 2.723, 100, 1 5 2
32.6, 2.748, 43, 2 0 0
31.1, 2.872, 40, 1 1 3
27.4, 3.260, 24, 1 3 2
58.3, 1.582, 20, 3 5 2
28.4, 3.141, 17, 0 6 1
63.2, 1.471, 14, 2 6 5
35.0, 2.564, 13, 0 0 4
52.5, 1.742, 12, 0 6 5
60.5, 1.530, 11, 1 11 3

Structural model:
abc: 5.497 19.800 10.256
angles: 90.00 90.00 90.00
Space group Cmc2_1 (No. 36)
Unique sites:
Y  0.000  0.091  0.000 (multiplicity 4)
Ho  0.000  0.019  0.286 (multiplicity 4)
Ho  0.000  0.122  0.567 (multiplicity 4)
Ho  0.000  0.200  0.252 (multiplicity 4)
Ho  0.000  0.225  0.865 (multiplicity 4)
Ho  0.000  0.483  0.563 (multiplicity 4)
Tm  0.000  0.386  0.282 (multiplicity 4)
Tm  0.000  0.389  0.856 (multiplicity 4)
Sc  0.000  0.304  0.561 (multiplicity 4)